[1]
Simulated powder X-ray diffraction pattern of TbZn9Au2 for Cu Kα X-rays, from a structure optimized by DFT (PBE).
Lines closer than 0.1° are merged.

```
data_TbZn9Au2
_cell_length_a 8.7432
_cell_length_b 8.7432
_cell_length_c 3.1263
_cell_angle_alpha 90.00
_cell_angle_beta 90.00
_cell_angle_gamma 120.00
_space_group_name_H-M_alt 'P 6/m m m'
_space_group_IT_number 191
_space_group_name_Hall '-P 6 2'
loop_
_atom_site_label
_atom_site_type_symbol
_atom_site_fract_x
_atom_site_fract_y
_atom_site_fract_z
Tb1 Tb 0.0000 0.0000 0.0000
Zn1 Zn 0.0000 0.5000 0.0000
Zn2 Zn 0.1809 0.3618 0.5000
Au1 Au 0.3333 0.6667 0.0000
```

Most intense lines, 10 to 90 degrees two-theta, most intense first:
2θ 41.30, rel. 100, hkl 2 2 0
2θ 35.29, rel. 87, hkl 1 1 1
2θ 20.31, rel. 54, hkl 1 1 0
2θ 46.23, rel. 44, hkl 3 0 1
2θ 74.65, rel. 34, hkl 2 2 2
2θ 63.70, rel. 30, hkl 4 1 1
2θ 37.30, rel. 29, hkl 2 0 1
2θ 42.84, rel. 19, hkl 2 1 1
2θ 86.00, rel. 16, hkl 5 2 1
2θ 75.31, rel. 14, hkl 6 0 0
2θ 35.57, rel. 12, hkl 3 0 0
2θ 59.10, rel. 12, hkl 0 0 2


[2]
Simulated powder X-ray diffraction pattern of Tb4ZnAu3 for Cu Kα X-rays, from a structure optimized by DFT (PBE).
Lines closer than 0.1° are merged.

```
data_Tb4ZnAu3
_cell_length_a 3.6143
_cell_length_b 3.6143
_cell_length_c 14.3480
_cell_angle_alpha 90.00
_cell_angle_beta 90.00
_cell_angle_gamma 90.00
_space_group_name_H-M_alt 'P 4/m m m'
_space_group_IT_number 123
_space_group_name_Hall '-P 4 2'
loop_
_atom_site_label
_atom_site_type_symbol
_atom_site_fract_x
_atom_site_fract_y
_atom_site_fract_z
Tb1 Tb 0.0000 0.0000 0.1226
Tb2 Tb 0.0000 0.0000 0.3735
Zn1 Zn 0.5000 0.5000 0.0000
Au1 Au 0.5000 0.5000 0.2450
Au2 Au 0.5000 0.5000 0.5000
```

Most intense lines, 10 to 90 degrees two-theta, most intense first:
2θ 35.25, rel. 100, hkl 1 0 4
2θ 35.11, rel. 51, hkl 1 1 0
2θ 63.09, rel. 37, hkl 2 1 4
2θ 50.50, rel. 18, hkl 2 0 0
2θ 63.35, rel. 18, hkl 1 1 8
2θ 84.87, rel. 17, hkl 3 1 0
2θ 74.54, rel. 11, hkl 2 0 8
2θ 50.92, rel. 9, hkl 0 0 8
2θ 85.55, rel. 8, hkl 1 0 12
2θ 74.21, rel. 6, hkl 2 2 0
2θ 31.01, rel. 3, hkl 1 0 3
2θ 12.34, rel. 2, hkl 0 0 2


[3]
Simulated powder X-ray diffraction pattern of TbZn9Au2 for Cu Kα X-rays, from a structure optimized by DFT (PBE).
Lines closer than 0.1° are merged.

```
data_TbZn9Au2
_cell_length_a 10.7468
_cell_length_b 10.7468
_cell_length_c 6.9236
_cell_angle_alpha 90.00
_cell_angle_beta 90.00
_cell_angle_gamma 90.00
_space_group_name_H-M_alt 'I 41/a m d'
_space_group_IT_number 141
loop_
_space_group_symop_operation_xyz
'x,y,z'
'-x,-y,-z'
'-y+1/4,x+3/4,z+1/4'
'y+1/4,-x+3/4,-z+1/4'
'-x+1/2,-y,z+1/2'
'x+1/2,y,-z+1/2'
'y+1/4,-x+1/4,z+3/4'
'-y+1/4,x+1/4,-z+3/4'
'x,-y,-z'
'-x,y,z'
'-y+1/4,-x+1/4,-z+3/4'
'y+1/4,x+1/4,z+3/4'
'-x+1/2,y,-z+1/2'
'x+1/2,-y,z+1/2'
'y+1/4,x+3/4,-z+1/4'
'-y+1/4,-x+3/4,z+1/4'
'x+1/2,y+1/2,z+1/2'
'-x+1/2,-y+1/2,-z+1/2'
'-y+3/4,x+1/4,z+3/4'
'y+3/4,-x+1/4,-z+3/4'
'-x,-y+1/2,z'
'x,y+1/2,-z'
'y+3/4,-x+3/4,z+1/4'
'-y+3/4,x+3/4,-z+1/4'
'x+1/2,-y+1/2,-z+1/2'
'-x+1/2,y+1/2,z+1/2'
'-y+3/4,-x+3/4,-z+1/4'
'y+3/4,x+3/4,z+1/4'
'-x,y+1/2,-z'
'x,-y+1/2,z'
'y+3/4,x+1/4,-z+3/4'
'-y+3/4,-x+1/4,z+3/4'
loop_
_atom_site_label
_atom_site_type_symbol
_atom_site_fract_x
_atom_site_fract_y
_atom_site_fract_z
Tb1 Tb 0.0000 0.2500 0.3750
Zn1 Zn 0.0000 0.2500 0.8750
Zn2 Zn 0.1205 0.0425 0.6710
Au1 Au 0.0000 0.0000 0.0000
```

Most intense lines, 10 to 90 degrees two-theta, most intense first:
2θ 32.71, rel. 100, hkl 3 2 1
2θ 37.07, rel. 94, hkl 3 1 2
2θ 44.12, rel. 92, hkl 5 0 1
2θ 45.97, rel. 91, hkl 4 2 2
2θ 37.42, rel. 68, hkl 4 2 0
2θ 22.52, rel. 60, hkl 2 1 1
2θ 39.96, rel. 55, hkl 1 0 3
2θ 33.35, rel. 46, hkl 4 0 0
2θ 43.50, rel. 38, hkl 2 1 3
2θ 58.62, rel. 36, hkl 2 2 4
2θ 47.41, rel. 35, hkl 5 2 1
2θ 30.72, rel. 31, hkl 2 0 2


[4]
Simulated powder X-ray diffraction pattern of TbZnAu3 for Cu Kα X-rays, from a structure optimized by DFT (PBE).
Lines closer than 0.1° are merged.

```
data_TbZnAu3
_cell_length_a 6.0122
_cell_length_b 4.7000
_cell_length_c 7.2716
_cell_angle_alpha 90.00
_cell_angle_beta 105.58
_cell_angle_gamma 90.00
_space_group_name_H-M_alt 'P 1 21/m 1'
_space_group_IT_number 11
loop_
_space_group_symop_operation_xyz
'x,y,z'
'-x,-y,-z'
'-x,y+1/2,-z'
'x,-y+1/2,z'
loop_
_atom_site_label
_atom_site_type_symbol
_atom_site_fract_x
_atom_site_fract_y
_atom_site_fract_z
Tb1 Tb 0.2015 0.2500 0.1959
Zn1 Zn 0.1986 0.7500 0.5831
Au1 Au 0.1022 0.2500 0.7597
Au2 Au 0.3392 0.7500 0.9719
Au3 Au 0.4984 0.2500 0.6182
```

Most intense lines, 10 to 90 degrees two-theta, most intense first:
2θ 35.74, rel. 100, hkl 2 1 -1
2θ 38.52, rel. 99, hkl 1 1 2
2θ 38.30, rel. 75, hkl 0 2 0
2θ 42.27, rel. 51, hkl 1 1 -3
2θ 36.45, rel. 43, hkl 2 1 0
2θ 31.87, rel. 28, hkl 0 1 2
2θ 33.26, rel. 23, hkl 1 0 2
2θ 66.78, rel. 23, hkl 3 2 1
2θ 30.06, rel. 20, hkl 2 0 -1
2θ 37.46, rel. 18, hkl 1 0 -3
2θ 69.40, rel. 17, hkl 1 3 2
2θ 52.44, rel. 17, hkl 3 0 1


Number 2 is which compound?
Tb4ZnAu3